This entry pairs a crystal structure of Tb5NdS6 with its calculated powder X-ray diffraction pattern. Radiation: Cu Kα (weighted mean of Kα1 and Kα2). Structure: a GGA-PBE-relaxed structure.

Largest 12 diffraction maxima, by angle, 2θ from 10° to 90°:
d/Å	2theta	Rel. int.
3.231	27.61	40
3.220	27.70	40
2.793	32.04	100
1.978	45.89	36
1.975	45.96	24
1.970	46.08	12
1.686	54.41	23
1.682	54.55	16
1.616	57.00	12
1.610	57.22	12
1.249	76.21	16
1.142	84.91	12

Structural model:
a = 6.854 Å, b = 6.854 Å, c = 6.835 Å
α = 99.67°, β = 99.67°, γ = 120.11°
Atoms (fractional coordinates):
Tb 0.000 0.000 0.000
Tb 0.166 0.834 0.500
Tb 0.337 0.663 0.000
Tb 0.663 0.337 0.000
Tb 0.834 0.166 0.500
Nd 0.500 0.500 0.500
S 0.074 0.415 0.245
S 0.243 0.243 0.752
S 0.415 0.074 0.245
S 0.585 0.926 0.755
S 0.757 0.757 0.248
S 0.926 0.585 0.755

This entry pairs a crystal structure of TbNd3S6 with its calculated powder X-ray diffraction pattern. Radiation: Cu Kα (weighted mean of Kα1 and Kα2). Structure: a GGA-PBE-relaxed structure.

Largest 12 diffraction maxima, by angle, 2θ from 10° to 90°:
d/Å	2theta	Rel. int.
4.651	19.08	50
4.127	21.53	40
3.729	23.86	100
3.655	24.35	34
3.384	26.34	73
2.630	34.09	43
2.591	34.62	66
2.234	40.37	60
2.202	40.98	21
2.164	41.74	31
2.014	45.01	21
1.865	48.84	20

Structural model:
a = 8.260 Å, b = 8.260 Å, c = 8.260 Å
α = 91.40°, β = 91.40°, γ = 91.40°
Atoms (fractional coordinates):
Tb 0.000 0.000 0.000
Tb 0.500 0.500 0.500
Nd 0.067 0.575 0.749
Nd 0.251 0.933 0.425
Nd 0.425 0.251 0.933
Nd 0.575 0.749 0.067
Nd 0.749 0.067 0.575
Nd 0.933 0.425 0.251
S 0.037 0.908 0.686
S 0.092 0.314 0.963
S 0.189 0.589 0.423
S 0.314 0.963 0.092
S 0.411 0.577 0.811
S 0.423 0.189 0.589
S 0.577 0.811 0.411
S 0.589 0.423 0.189
S 0.686 0.037 0.908
S 0.811 0.411 0.577
S 0.908 0.686 0.037
S 0.963 0.092 0.314